No. 1
Structure and theoretical powder diffraction line list of KO3F3 (a crystal structure in Alexandria, relaxed with GGA-PBE; λ = 1.5418 Å (Cu Kα)).
Neutral-atom scattering factors, no anomalous dispersion.

Main lines, in order of rising 2θ (2θ from 10° to 90°):
- (1 0 4), 2θ 22.3, I 89
- (0 0 9), 2θ 25.7, I 57
- (1 0 7), 2θ 27.7, I 73
- (0 0 12), 2θ 34.4, I 83
- (2 0 2), 2θ 39.2, I 100
- (0 2 7), 2θ 43.9, I 55

Cell and atoms:
a = 5.3651 Å, b = 5.3651 Å, c = 31.2487 Å
α = 90.00°, β = 90.00°, γ = 120.00°
Space group R-3m (No. 166, hexagonal axes)
One atom of each set of equivalent atoms:
K1 0.0000 0.0000 0.2038 x6
O1 0.0903 0.1807 0.6387 x18
F1 0.0588 0.5294 0.7889 x18

***

No. 2
Structure and theoretical powder diffraction line list of YHo2Tm3 (a crystal structure in Alexandria, relaxed with GGA-PBE; λ = 1.5418 Å (Cu Kα)).
Neutral-atom scattering factors, no anomalous dispersion.

Main lines, in order of rising 2θ (2θ from 10° to 90°):
- (6 0 0), 2θ 31.2, I 100
- (4 0 2), 2θ 36.2, I 51
- (8 2 1), 2θ 52.1, I 36
- (10 0 2), 2θ 61.9, I 42
- (14 2 1), 2θ 85.1, I 18
- (12 4 0), 2θ 87.9, I 14

Cell and atoms:
a = 17.219 Å, b = 7.030 Å, c = 6.081 Å
α = 90.00°, β = 90.02°, γ = 90.00°
Space group C2/c (No. 15)
One atom of each set of equivalent atoms:
Y1 0.000 0.126 0.250 x4
Ho1 0.167 0.375 0.418 x8
Tm1 0.000 0.376 0.750 x4
Tm2 0.167 0.125 0.916 x8

***

No. 3
Structure and theoretical powder diffraction line list of PmZn4Ni (a crystal structure in Alexandria, relaxed with GGA-PBE; λ = 1.5418 Å (Cu Kα)).
Neutral-atom scattering factors, no anomalous dispersion.

Main lines, in order of rising 2θ (2θ from 10° to 90°):
- (2 1 0), 2θ 32.3, I 27
- (2 1 1), 2θ 35.0, I 100
- (1 1 2), 2θ 36.7, I 72
- (1 0 3), 2θ 41.6, I 28
- (2 1 2), 2θ 42.1, I 50
- (0 2 0), 2θ 45.5, I 41

Cell and atoms:
a = 7.695 Å, b = 3.987 Å, c = 6.783 Å
α = 90.00°, β = 90.00°, γ = 90.00°
Space group Pmma (No. 51)
One atom of each set of equivalent atoms:
Pm1 0.250 0.000 0.109 x2
Zn1 0.000 0.000 0.500 x2
Zn2 0.058 0.500 0.798 x4
Zn3 0.250 0.500 0.458 x2
Ni1 0.250 0.000 0.706 x2

***

Please write out number 2 again, unchanged.
Structure and theoretical powder diffraction line list of YHo2Tm3 (a crystal structure in Alexandria, relaxed with GGA-PBE; λ = 1.5418 Å (Cu Kα)).
Neutral-atom scattering factors, no anomalous dispersion.

Main lines, in order of rising 2θ (2θ from 10° to 90°):
- (6 0 0), 2θ 31.2, I 100
- (4 0 2), 2θ 36.2, I 51
- (8 2 1), 2θ 52.1, I 36
- (10 0 2), 2θ 61.9, I 42
- (14 2 1), 2θ 85.1, I 18
- (12 4 0), 2θ 87.9, I 14

Cell and atoms:
a = 17.219 Å, b = 7.030 Å, c = 6.081 Å
α = 90.00°, β = 90.02°, γ = 90.00°
Space group C2/c (No. 15)
One atom of each set of equivalent atoms:
Y1 0.000 0.126 0.250 x4
Ho1 0.167 0.375 0.418 x8
Tm1 0.000 0.376 0.750 x4
Tm2 0.167 0.125 0.916 x8